For BPC3, a DFT-relaxed cell (GGA-PBE, Alexandria) gives the calculated X-ray diffraction stick pattern in this record (Cu Kα, 1.54184 Å).
No peak broadening, texture or thermal motion is included.

Cell and atoms:
```
data_BPC3
_space_group_name_H-M_alt 'A m m 2'
_space_group_IT_number 38
_cell_length_a 2.5607
_cell_length_b 2.9810
_cell_length_c 12.0409
_cell_angle_alpha 90.00
_cell_angle_beta 90.00
_cell_angle_gamma 90.00
loop_
_space_group_symop_operation_xyz
'x,y,z'
'-x,-y,z'
'-x,y,z'
'x,-y,z'
'x,y+1/2,z+1/2'
'-x,-y+1/2,z+1/2'
'-x,y+1/2,z+1/2'
'x,-y+1/2,z+1/2'
loop_
_atom_site_label
_atom_site_type_symbol
_atom_site_fract_x
_atom_site_fract_y
_atom_site_fract_z
B1 B 0.0000 0.0000 0.0000
P1 P 0.5000 0.0000 0.3344
C1 C 0.0000 0.0000 0.1277
C2 C 0.5000 0.0000 0.1840
C3 C 0.5000 0.0000 0.9286
```

Largest 10 diffraction maxima, in order of rising 2θ, 10 to 90 degrees two-theta:
| 2theta | d (Å) | I_rel | (hkl) |
| --- | --- | --- | --- |
| 14.71 | 6.020 | 55 | 0 0 2 |
| 30.90 | 2.894 | 100 | 0 1 1 |
| 35.04 | 2.561 | 21 | 1 0 0 |
| 37.58 | 2.393 | 18 | 0 1 3 |
| 38.19 | 2.356 | 57 | 1 0 2 |
| 47.41 | 1.918 | 26 | 1 1 1 |
| 48.60 | 1.873 | 31 | 0 1 5 |
| 52.33 | 1.748 | 19 | 1 1 3 |
| 62.30 | 1.490 | 19 | 0 2 0 |
| 73.54 | 1.288 | 28 | 1 1 7 |